Starting from a structure optimized by DFT (GGA-PBE), the powder diffractogram of ZnSO5 was calculated for Cu Kα, 1.54184 Å.

Top 10 peaks for 2θ = 10–90°, low angle first:
d = 4.867 Å, I = 100
d = 3.948 Å, I = 20
d = 3.387 Å, I = 48
d = 3.360 Å, I = 88
d = 3.099 Å, I = 47
d = 2.535 Å, I = 41
d = 2.423 Å, I = 26
d = 2.198 Å, I = 20
d = 1.999 Å, I = 18
d = 1.691 Å, I = 17

Structure:
```
ZnSO5
1.0
3.4914 -3.9483 0.0000
3.4914 3.9483 0.0000
-3.4327 0.0000 6.6143
Zn S O
2 2 10
Direct
0.0000 0.0000 0.0000
0.0000 0.0000 0.5000
0.3405 0.6595 0.7500
0.6595 0.3405 0.2500
0.1047 0.8953 0.2500
0.1334 0.6678 0.8493
0.2776 0.3792 0.5997
0.3322 0.8666 0.6507
0.3792 0.2776 0.0997
0.6208 0.7224 0.9003
0.6678 0.1334 0.3493
0.7224 0.6208 0.4003
0.8666 0.3322 0.1507
0.8953 0.1047 0.7500
```